1.
# Zr2RhAu
Computed XRD peak list, Cu Ka. Input: DFT lattice parameters and positions (PBE).
Neutral-atom scattering factors, no anomalous dispersion.

Atomic structure:
```
data_Zr2RhAu
_chemical_formula_sum 'Zr4 Rh2 Au2'
_symmetry_space_group_name_H-M 'I -4 m 2'
_symmetry_Int_Tables_number 119
_symmetry_space_group_name_Hall 'I -4 -2'
_cell_length_a 4.092
_cell_length_b 4.092
_cell_length_c 8.942
_cell_angle_alpha 90.00
_cell_angle_beta 90.00
_cell_angle_gamma 90.00
loop_
_atom_site_label
_atom_site_fract_x
_atom_site_fract_y
_atom_site_fract_z
Zr1 0.000 0.000 0.000
Zr2 0.000 0.500 0.250
Rh1 0.000 0.000 0.500
Au1 0.000 0.500 0.750
```

Most intense lines, 2θ = 10–90°, low angle first:
- 23.9 deg, I = 13
- 37.0 deg, I = 100
- 37.3 deg, I = 5
- 40.3 deg, I = 20
- 44.3 deg, I = 30
- 61.4 deg, I = 22
- 64.4 deg, I = 10
- 71.2 deg, I = 14
- 76.7 deg, I = 24
- 78.8 deg, I = 11

=====

2.
# ZrRhAu2
Computed XRD peak list, Cu Ka. Input: DFT lattice parameters and positions (PBE).
Neutral-atom scattering factors, no anomalous dispersion.

Atomic structure:
```
data_ZrRhAu2
_chemical_formula_sum 'Zr2 Rh2 Au4'
_symmetry_space_group_name_H-M 'P m m a'
_symmetry_Int_Tables_number 51
_symmetry_space_group_name_Hall '-P 2a 2a'
_cell_length_a 4.540
_cell_length_b 3.268
_cell_length_c 9.706
_cell_angle_alpha 90.00
_cell_angle_beta 90.00
_cell_angle_gamma 90.00
loop_
_atom_site_label
_atom_site_fract_x
_atom_site_fract_y
_atom_site_fract_z
Zr1 0.250 0.000 0.139
Rh1 0.250 0.500 0.905
Au1 0.250 0.000 0.657
Au2 0.250 0.500 0.397
```

Most intense lines, 2θ = 10–90°, low angle first:
- 35.1 deg, I = 10
- 37.0 deg, I = 20
- 38.7 deg, I = 100
- 39.7 deg, I = 26
- 42.2 deg, I = 15
- 55.4 deg, I = 12
- 56.3 deg, I = 9
- 71.1 deg, I = 11
- 71.4 deg, I = 17
- 78.2 deg, I = 9

=====

What is the formula in the first record?
Zr2RhAu

=====

Number 2 is which compound?
ZrRhAu2